Diffraction record for TbPr2SmEr2. The X-ray diffraction stick pattern is simulated, not measured: it uses a structure optimized by DFT (PBE) and λ = 1.5418 Å (Cu Kα).
Neutral-atom scattering factors, no anomalous dispersion.

Atomic structure:
Cell lengths 7.0379, 5.7049, 9.8895 Å; angles 90.00, 90.00, 90.00 degrees
Space group Pmma (No. 51)
Unique sites:
1 Tb 0.2500 0.0000 0.1634 (multiplicity 2)
2 Pr 0.0000 0.0000 0.5000 (multiplicity 2)
3 Pr 0.2500 0.5000 0.6711 (multiplicity 2)
4 Sm 0.0000 0.5000 0.0000 (multiplicity 2)
5 Er 0.2500 0.0000 0.8339 (multiplicity 2)
6 Er 0.2500 0.5000 0.3340 (multiplicity 2)

Main lines, sorted by position (10 to 90 degrees two-theta):
d = 2.867 Å, rel. 88, hkl 2 1 1
d = 2.854 Å, rel. 100, hkl 0 2 0
d = 2.022 Å, rel. 32, hkl 2 0 4
d = 1.650 Å, rel. 41, hkl 0 0 6
d = 1.498 Å, rel. 29, hkl 4 2 0
d = 1.277 Å, rel. 14, hkl 2 1 7